This entry pairs a crystal structure of NbTePdRuI with its simulated powder X-ray diffraction pattern. Radiation: copper Kα. Structure: a GGA-PBE-relaxed structure.
Peak positions follow from Bragg's law for the DFT cell and can differ from measured ones.

The 8 most intense peaks (10 to 90 degrees two-theta), most intense first:
2theta	I_rel
10.3	100
41.2	54
27.1	33
41.0	27
39.9	25
40.8	22
51.2	17
33.6	16

Cell and atoms:
```
NbTePdRuI
1.0
3.5702 0.0000 0.0000
1.7814 4.2391 0.0000
0.1994 1.5117 8.5807
Nb Te Pd Ru I
1 1 1 1 1
direct
0.0000 0.0000 0.0000
0.3837 0.2612 0.7467
0.3029 0.3779 0.1459
0.6888 0.6330 0.9128
0.9983 0.9635 0.3319
```